# 1
PrNdHo5Er2: computed powder X-ray diffraction pattern (λ = 1.5418 Å (Cu Kα)), based on a crystal structure in Alexandria, relaxed with GGA-PBE.

Cell and atoms:
```
18
Lattice="-4.4569 4.4569 7.3863 4.4569 -4.4569 7.3863 4.4569 4.4569 -7.3863" Properties=species:S:1:pos:R:3 pbc="T T T"
Pr 4.4569 0.0000 3.6932
Pr 0.0000 4.4569 3.6932
Nd 0.0000 0.0000 3.6932
Nd 0.0000 0.0000 11.0795
Ho 0.0000 0.0000 0.0000
Ho 6.2562 1.7993 -1.9251
Ho 1.7993 2.6575 -1.9251
Ho 6.2562 1.7993 1.9251
Ho 1.7993 2.6575 1.9251
Ho 0.0000 0.0000 7.3863
Ho 2.6575 1.7993 5.4612
Ho -1.7993 2.6575 5.4612
Ho 2.6575 1.7993 9.3114
Ho -1.7993 2.6575 9.3114
Er 3.4445 1.0124 0.0000
Er 3.4445 -1.0124 7.3863
Er 1.0124 5.4693 0.0000
Er 1.0124 3.4445 7.3863
```

Top 8 peaks for 2θ = 15–90°, by intensity:
Position (°2θ), I (rel.)
31.46, 100
28.82, 57
28.32, 50
36.86, 23
37.90, 20
31.74, 19
42.25, 18
52.15, 16

# 2
NdHo4ErS8: computed powder X-ray diffraction pattern (λ = 1.5418 Å (Cu Kα)), based on a crystal structure in Alexandria, relaxed with GGA-PBE.

Cell and atoms:
```
14
Lattice="4.0298 2.3266 6.5733 -4.0298 2.3266 6.5733 0.0000 -4.6532 6.5733" Properties=species:S:1:pos:R:3 pbc="T T T"
Nd 0.0000 0.0000 0.0000
Ho -2.0033 -1.1566 9.0409
Ho 0.0000 0.0000 4.9243
Ho 2.0033 -1.1566 9.0409
Ho 0.0000 2.3132 9.0409
Er 0.0000 0.0000 12.3121
S 0.0000 0.0000 7.5285
S 0.0000 -2.1883 10.6425
S -1.8951 1.0941 10.6425
S -1.8256 -1.0540 14.0351
S 1.8951 1.0941 10.6425
S 1.8256 -1.0540 14.0351
S 0.0000 2.1081 14.0351
S 0.0000 0.0000 17.0286
```

Top 8 peaks for 2θ = 15–90°, by intensity:
Position (°2θ), I (rel.)
25.94, 100
45.01, 57
41.17, 44
22.07, 25
62.63, 24
31.41, 20
27.11, 15
52.68, 15

# 3
Nd2HoErSc: computed powder X-ray diffraction pattern (λ = 1.5418 Å (Cu Kα)), based on a crystal structure in Alexandria, relaxed with GGA-PBE.

Cell and atoms:
```
10
Lattice="6.2147 0.0000 0.0000 0.0000 7.8017 0.0000 0.0000 0.0000 6.5422" Properties=species:S:1:pos:R:3 pbc="T T T"
Nd 1.5537 1.5870 1.4175
Nd 1.5537 6.2147 1.4175
Nd 4.6611 1.5870 5.1247
Nd 4.6611 6.2147 5.1247
Ho 1.5537 0.0000 4.5068
Ho 4.6611 0.0000 2.0354
Er 1.5537 3.9009 3.8661
Er 4.6611 3.9009 2.6761
Sc 0.0000 3.9009 0.0000
Sc 3.1074 3.9009 0.0000
```

Top 8 peaks for 2θ = 15–90°, by intensity:
Position (°2θ), I (rel.)
30.31, 100
28.73, 41
30.90, 34
40.03, 29
51.89, 22
29.61, 22
39.56, 19
26.61, 13

# 4
Nd2Ho2ErSc2: computed powder X-ray diffraction pattern (λ = 1.5418 Å (Cu Kα)), based on a crystal structure in Alexandria, relaxed with GGA-PBE.

Cell and atoms:
```
14
Lattice="11.1628 0.0000 0.0000 0.0000 3.4285 0.0000 -2.3401 0.0000 11.3479" Properties=species:S:1:pos:R:3 pbc="T T T"
Nd 0.4209 0.0000 3.0513
Nd 2.8204 1.7143 8.2966
Nd 6.0023 1.7143 3.0513
Nd 8.4018 0.0000 8.2966
Ho 0.3541 0.0000 6.5188
Ho 2.8872 1.7143 4.8291
Ho 5.9355 1.7143 6.5188
Ho 8.4686 0.0000 4.8291
Er 0.0000 1.7143 0.0000
Er 5.5814 0.0000 0.0000
Sc 0.2420 0.0000 9.9581
Sc 2.9993 1.7143 1.3898
Sc 5.8234 1.7143 9.9581
Sc 8.5807 0.0000 1.3898
```

Top 8 peaks for 2θ = 15–90°, by intensity:
Position (°2θ), I (rel.)
32.46, 100
31.36, 91
32.10, 72
35.17, 66
35.96, 62
16.52, 47
27.92, 44
54.55, 44

# 5
Nd4HoEr2Sc: computed powder X-ray diffraction pattern (λ = 1.5418 Å (Cu Kα)), based on a crystal structure in Alexandria, relaxed with GGA-PBE.

Cell and atoms:
```
8
Lattice="5.0993 0.0000 0.0000 0.0000 5.0993 0.0000 0.0000 0.0000 9.8484" Properties=species:S:1:pos:R:3 pbc="T T T"
Nd 0.0000 2.5497 2.4131
Nd 0.0000 2.5497 7.4353
Nd 2.5497 0.0000 2.4131
Nd 2.5497 0.0000 7.4353
Ho 0.0000 0.0000 4.9242
Er 0.0000 0.0000 0.0000
Er 2.5497 2.5497 4.9242
Sc 2.5497 2.5497 0.0000
```

Top 8 peaks for 2θ = 15–90°, by intensity:
Position (°2θ), I (rel.)
30.73, 100
35.20, 35
60.41, 29
51.60, 23
36.49, 16
62.13, 13
50.63, 12
64.01, 12

# 6
Nd2SmHo2Er: computed powder X-ray diffraction pattern (λ = 1.5418 Å (Cu Kα)), based on a crystal structure in Alexandria, relaxed with GGA-PBE.

Cell and atoms:
```
12
Lattice="6.6041 0.0000 0.0000 0.0000 18.0561 0.0000 0.0000 0.0000 3.3917" Properties=species:S:1:pos:R:3 pbc="T T T"
Nd 1.5164 3.3576 0.0000
Nd 1.7856 12.3856 1.6958
Nd 4.8185 5.6705 1.6958
Nd 5.0877 14.6985 0.0000
Sm 0.0000 9.0280 0.0000
Sm 3.3020 0.0000 1.6958
Ho 1.5066 6.3973 1.6958
Ho 1.7955 15.4254 0.0000
Ho 4.8086 2.6307 0.0000
Ho 5.0975 11.6588 1.6958
Er 0.0000 0.0000 0.0000
Er 3.3020 9.0280 1.6958
```

Top 8 peaks for 2θ = 15–90°, by intensity:
Position (°2θ), I (rel.)
29.67, 100
28.79, 98
30.25, 76
40.99, 70
33.63, 67
31.26, 41
35.80, 39
26.74, 36

# 7
Nd3Sm2Ho6Er: computed powder X-ray diffraction pattern (λ = 1.5418 Å (Cu Kα)), based on a crystal structure in Alexandria, relaxed with GGA-PBE.

Cell and atoms:
```
12
Lattice="3.1039 -5.3740 0.0000 3.1039 5.3740 0.0000 -2.0620 0.0000 11.6220" Properties=species:S:1:pos:R:3 pbc="T T T"
Nd 0.0000 0.0000 0.0000
Nd 3.1039 1.7915 0.0000
Nd 3.1039 -1.7915 0.0000
Sm 2.0729 3.5846 5.8110
Sm 2.0729 -3.5846 5.8110
Ho 1.0381 1.7888 2.9317
Ho 0.0088 0.0000 8.6926
Ho 1.0381 -1.7888 2.9317
Ho 3.1078 1.7888 8.6903
Ho 4.1371 0.0000 2.9294
Ho 3.1078 -1.7888 8.6903
Er 2.0729 0.0000 5.8110
```

Top 8 peaks for 2θ = 15–90°, by intensity:
Position (°2θ), I (rel.)
30.58, 100
35.51, 67
30.77, 33
60.73, 29
50.97, 24
51.23, 24
60.62, 14
60.96, 14

# 8
TbNd2Ho5Er: computed powder X-ray diffraction pattern (λ = 1.5418 Å (Cu Kα)), based on a crystal structure in Alexandria, relaxed with GGA-PBE.

Cell and atoms:
```
18
Lattice="-4.3015 4.3015 7.8355 4.3015 -4.3015 7.8355 4.3015 4.3015 -7.8355" Properties=species:S:1:pos:R:3 pbc="T T T"
Tb 0.0000 0.0000 3.9178
Tb 0.0000 0.0000 11.7533
Nd 5.3157 1.0143 0.0000
Nd 1.0143 3.2872 0.0000
Nd 3.2872 1.0143 7.8355
Nd -1.0143 3.2872 7.8355
Ho 0.0000 0.0000 0.0000
Ho 2.4706 1.8309 -2.1999
Ho 2.4706 -1.8309 5.6356
Ho 2.4706 1.8309 2.1999
Ho 2.4706 -1.8309 10.0354
Ho 0.0000 0.0000 7.8355
Ho 1.8309 6.1323 -2.1999
Ho 1.8309 2.4706 5.6356
Ho 1.8309 6.1323 2.1999
Ho 1.8309 2.4706 10.0354
Er 4.3015 0.0000 3.9178
Er 0.0000 4.3015 3.9178
```

Top 8 peaks for 2θ = 15–90°, by intensity:
Position (°2θ), I (rel.)
30.87, 100
29.36, 52
28.82, 43
53.03, 24
55.80, 18
38.15, 14
40.39, 12
56.33, 12

# 9
TbNdHo2Er2: computed powder X-ray diffraction pattern (λ = 1.5418 Å (Cu Kα)), based on a crystal structure in Alexandria, relaxed with GGA-PBE.

Cell and atoms:
```
12
Lattice="6.5593 0.0000 0.0000 0.0000 17.6460 0.0000 0.0000 0.0000 3.3795" Properties=species:S:1:pos:R:3 pbc="T T T"
Tb 0.0000 0.0000 0.0000
Tb 3.2796 8.8230 1.6897
Nd 0.0000 8.8230 0.0000
Nd 3.2796 0.0000 1.6897
Ho 1.4720 2.6427 1.6897
Ho 1.8076 11.4657 0.0000
Ho 4.7516 6.1803 0.0000
Ho 5.0873 15.0032 1.6897
Er 1.4903 5.5851 0.0000
Er 1.7893 14.4081 1.6897
Er 4.7700 3.2379 1.6897
Er 5.0689 12.0608 0.0000
```

Top 8 peaks for 2θ = 15–90°, by intensity:
Position (°2θ), I (rel.)
29.05, 100
30.51, 96
30.39, 83
41.31, 75
34.06, 61
56.04, 39
31.46, 36
36.17, 35

# 10
Tb6Nd3HoEr2: computed powder X-ray diffraction pattern (λ = 1.5418 Å (Cu Kα)), based on a crystal structure in Alexandria, relaxed with GGA-PBE.

Cell and atoms:
```
12
Lattice="3.1008 -5.3690 0.0000 3.1008 5.3690 0.0000 -2.0615 0.0000 11.6728" Properties=species:S:1:pos:R:3 pbc="T T T"
Tb 0.0011 1.7901 8.8094
Tb 1.0373 0.0000 2.8635
Tb 0.0011 -1.7901 8.8094
Tb 4.1391 1.7901 2.8635
Tb 3.1028 0.0000 8.8093
Tb 4.1391 -1.7901 2.8635
Nd -1.0307 0.0000 5.8364
Nd 2.0701 1.7897 5.8364
Nd 2.0701 -1.7897 5.8364
Ho 3.1008 0.0000 0.0000
Er 3.1008 3.5791 0.0000
Er 3.1008 -3.5791 0.0000
```

Top 8 peaks for 2θ = 15–90°, by intensity:
Position (°2θ), I (rel.)
30.60, 100
35.48, 51
51.05, 36
60.69, 36
83.20, 13
85.87, 11
63.68, 9
60.76, 7

# 11
Tb5NdHoEr2: computed powder X-ray diffraction pattern (λ = 1.5418 Å (Cu Kα)), based on a crystal structure in Alexandria, relaxed with GGA-PBE.

Cell and atoms:
```
18
Lattice="2.8049 -9.9343 0.0000 2.8049 9.9343 0.0000 0.0000 0.0000 10.5360" Properties=species:S:1:pos:R:3 pbc="T T T"
Tb 2.8049 9.5830 5.2680
Tb 2.8049 4.3504 8.3150
Tb 2.8049 4.0080 1.9503
Tb 2.8049 2.2391 5.2641
Tb 2.8049 0.4240 2.2612
Tb 2.8049 -0.4240 7.5292
Tb 2.8049 -2.2391 10.5321
Tb 2.8049 -4.0080 7.2183
Tb 2.8049 -4.3504 3.0470
Tb 2.8049 -9.5830 0.0000
Nd 2.8049 1.6838 9.7817
Nd 2.8049 -1.6838 4.5137
Ho 2.8049 5.9731 5.1473
Ho 2.8049 -5.9731 10.4153
Er 2.8049 7.7214 2.2303
Er 2.8049 7.6657 8.3786
Er 2.8049 -7.6657 3.1106
Er 2.8049 -7.7214 7.4983
```

Top 8 peaks for 2θ = 15–90°, by intensity:
Position (°2θ), I (rel.)
32.42, 100
31.91, 43
30.36, 41
57.18, 20
28.25, 19
59.90, 16
61.78, 13
43.13, 12

# 12
Nd5Ho2ErTh: computed powder X-ray diffraction pattern (λ = 1.5418 Å (Cu Kα)), based on a crystal structure in Alexandria, relaxed with GGA-PBE.

Cell and atoms:
```
18
Lattice="2.7064 -10.8364 0.0000 2.7064 10.8364 0.0000 0.0000 0.0000 10.6026" Properties=species:S:1:pos:R:3 pbc="T T T"
Nd 2.7064 -10.8333 0.0000
Nd 2.7064 10.8333 5.3013
Nd 2.7064 8.1113 7.9536
Nd 2.7064 6.0294 0.6016
Nd 2.7064 6.0309 4.6976
Nd 2.7064 0.0387 2.6498
Nd 2.7064 -0.0387 7.9511
Nd 2.7064 -6.0294 5.9029
Nd 2.7064 -6.0309 9.9989
Nd 2.7064 -8.1113 2.6523
Ho 2.7064 2.4441 5.3374
Ho 2.7064 2.4458 10.5663
Ho 2.7064 -2.4441 0.0361
Ho 2.7064 -2.4458 5.2650
Er 2.7064 8.6293 2.6472
Er 2.7064 -8.6293 7.9485
Th 2.7064 4.6020 7.9509
Th 2.7064 -4.6020 2.6496
```

Top 8 peaks for 2θ = 15–90°, by intensity:
Position (°2θ), I (rel.)
31.36, 100
33.09, 38
48.04, 19
33.82, 19
58.04, 18
30.49, 15
26.57, 14
32.70, 13

- What is the formula in the tenth record?
  Tb6Nd3HoEr2

Copy entry 7 word for word.
Nd3Sm2Ho6Er: computed powder X-ray diffraction pattern (λ = 1.5418 Å (Cu Kα)), based on a crystal structure in Alexandria, relaxed with GGA-PBE.

Cell and atoms:
```
12
Lattice="3.1039 -5.3740 0.0000 3.1039 5.3740 0.0000 -2.0620 0.0000 11.6220" Properties=species:S:1:pos:R:3 pbc="T T T"
Nd 0.0000 0.0000 0.0000
Nd 3.1039 1.7915 0.0000
Nd 3.1039 -1.7915 0.0000
Sm 2.0729 3.5846 5.8110
Sm 2.0729 -3.5846 5.8110
Ho 1.0381 1.7888 2.9317
Ho 0.0088 0.0000 8.6926
Ho 1.0381 -1.7888 2.9317
Ho 3.1078 1.7888 8.6903
Ho 4.1371 0.0000 2.9294
Ho 3.1078 -1.7888 8.6903
Er 2.0729 0.0000 5.8110
```

Top 8 peaks for 2θ = 15–90°, by intensity:
Position (°2θ), I (rel.)
30.58, 100
35.51, 67
30.77, 33
60.73, 29
50.97, 24
51.23, 24
60.62, 14
60.96, 14